Tl4FeF6: calculated PXRD pattern (CuKα), based on the GGA+U geometry in Alexandria.

Principal peaks in the range 15° ≤ 2θ ≤ 90°, in order of falling intensity:
- d = 2.605 Å, 34.43 deg, I 100.0
- d = 3.431 Å, 25.97 deg, I 77.0
- d = 4.002 Å, 22.21 deg, I 44.4
- d = 1.729 Å, 52.97 deg, I 29.2
- d = 1.687 Å, 54.38 deg, I 25.5
- d = 2.426 Å, 37.06 deg, I 24.9
- d = 2.769 Å, 32.33 deg, I 21.8
- d = 1.648 Å, 55.79 deg, I 21.1
- d = 3.836 Å, 23.19 deg, I 19.9
- d = 1.342 Å, 70.13 deg, I 18.2

Atomic structure:
Cell: 7.672 7.672 8.004 Å, 90.00 90.00 90.00°
Space group P4/mnc (No. 128)
Unique sites:
Tl: 0.168 0.332 0.250 x8
Fe: 0.000 0.000 0.000 x2
F: 0.000 0.000 0.253 x4
F: 0.123 0.745 0.000 x8